Starting from a structure optimized by DFT (GGA-PBE), the PXRD pattern of Ba3Ag4Au4 was simulated for Cu Kα X-rays.
Kinematic intensities with the Lorentz-polarization factor, no thermal factor.

Crystal structure
Cell lengths 4.3904, 4.7198, 15.1288 Å; angles 81.12, 81.68, 89.99 degrees
Space group P-1 (No. 2)
One atom of each set of equivalent atoms:
Ba 0.0000 0.0000 0.0000 (multiplicity 1)
Ba 0.1509 0.6497 0.7009 (multiplicity 2)
Ag 0.2544 0.2538 0.4947 (multiplicity 2)
Ag 0.3999 0.9013 0.1964 (multiplicity 2)
Au 0.3064 0.8087 0.3835 (multiplicity 2)
Au 0.4523 0.4509 0.0958 (multiplicity 2)

Main lines, by angle (10 to 90 degrees two-theta):
| 2θ/deg | I (rel.) | h k l |
| --- | --- | --- |
| 28.41 | 77.5 | -1 1 1 |
| 29.34 | 100.0 | 1 0 -3 |
| 30.30 | 80.6 | 1 -1 2 |
| 30.33 | 79.2 | 1 1 3 |
| 33.24 | 68.6 | 0 1 5 |
| 38.13 | 79.5 | 0 2 1 |
| 38.54 | 87.0 | 0 1 -5 |
| 41.12 | 64.3 | 2 0 1 |
| 41.49 | 58.7 | 1 1 -4 |
| 57.62 | 53.6 | 2 -1 6 |